Record 1
# PuAl3Ga4
Computed powder diffraction line list, CuKα. Input: the PBE geometry in Alexandria.

abc: 9.3343 6.5767 4.8009
angles: 90.00 90.00 90.00
Space group Pmma (No. 51)
Asymmetric unit:
Pu  0.0000  0.0000  0.0000 x2
Al  0.0000  0.5000  0.0000 x2
Al  0.2500  0.0000  0.4613 x2
Al  0.2500  0.5000  0.3799 x2
Ga  0.0000  0.2822  0.5000 x4
Ga  0.2500  0.2839  0.8978 x4

Peak list (10 most intense, 10 to 90 degrees two-theta, in order of rising 2θ)
Position (°2θ), d_spacing, I_rel, hkl
13.5, 6.577, 20, 0 1 0
18.5, 4.801, 17, 0 0 1
19.0, 4.667, 20, 2 0 0
22.9, 3.878, 25, 0 1 1
23.4, 3.806, 25, 2 1 0
30.0, 2.983, 46, 2 1 1
37.5, 2.400, 20, 0 0 2
38.4, 2.345, 100, 2 2 1
38.6, 2.334, 30, 4 0 0
69.7, 1.350, 17, 6 2 1

Record 2
# Ac3Ge4
Computed powder diffraction line list, CuKα. Input: the PBE geometry in Alexandria.

abc: 4.5396 11.5635 15.2743
angles: 90.00 90.00 90.00
Space group Cmc2_1 (No. 36)
Asymmetric unit:
Ac  0.0000  0.0303  0.0000 x4
Ac  0.0000  0.3219  0.1539 x4
Ac  0.0000  0.3217  0.8461 x4
Ge  0.0000  0.0003  0.2498 x4
Ge  0.0000  0.2511  0.5000 x4
Ge  0.0000  0.3899  0.3596 x4
Ge  0.0000  0.3900  0.6406 x4

Peak list (10 most intense, 10 to 90 degrees two-theta, in order of rising 2θ)
Position (°2θ), d_spacing, I_rel, hkl
23.3, 3.821, 24, 0 2 3
24.1, 3.697, 27, 1 1 2
27.4, 3.252, 41, 1 1 3
28.0, 3.186, 26, 0 2 4
30.4, 2.938, 83, 1 3 0
31.6, 2.835, 100, 1 1 4
35.3, 2.545, 55, 0 0 6
39.1, 2.305, 19, 0 4 4
39.7, 2.270, 32, 2 0 0
47.2, 1.924, 28, 1 3 6

Record 3
# PrTm2ReO8
Computed powder diffraction line list, CuKα. Input: the PBE geometry in Alexandria.

abc: 7.0813 7.1596 6.8425
angles: 90.00 90.00 90.00
Space group Cmmm (No. 65)
Asymmetric unit:
Pr  0.0000  0.0000  0.0000 x2
Tm  0.0000  0.5000  0.2482 x4
Re  0.0000  0.0000  0.5000 x2
O  0.0000  0.2669  0.5000 x4
O  0.0000  0.3188  0.0000 x4
O  0.1868  0.0000  0.2996 x8

Peak list (10 most intense, 10 to 90 degrees two-theta, in order of rising 2θ)
Position (°2θ), d_spacing, I_rel, hkl
24.9, 3.580, 54, 0 2 0
25.2, 3.541, 54, 2 0 0
31.6, 2.830, 100, 1 1 2
35.7, 2.517, 30, 2 2 0
48.2, 1.887, 37, 1 3 2
48.6, 1.875, 38, 3 1 2
57.7, 1.597, 10, 2 4 0
60.1, 1.540, 10, 2 0 4
61.5, 1.507, 21, 3 3 2
66.0, 1.415, 12, 2 2 4

Record 4
# AcTb3PrSm
Computed powder diffraction line list, CuKα. Input: the PBE geometry in Alexandria.

abc: 20.5410 5.7555 7.2356
angles: 90.00 90.14 90.00
Space group C2/m (No. 12)
Asymmetric unit:
Ac  0.1460  0.0000  0.0337 x4
Tb  0.0204  0.0000  0.7339 x4
Tb  0.1672  0.5000  0.7358 x4
Tb  0.2193  0.5000  0.2550 x4
Pr  0.0553  0.5000  0.2796 x4
Sm  0.1490  0.0000  0.4763 x4

Peak list (10 most intense, 10 to 90 degrees two-theta, in order of rising 2θ)
Position (°2θ), d_spacing, I_rel, hkl
26.0, 3.423, 17, 6 0 0
29.4, 3.034, 100, 5 1 -1
30.2, 2.959, 32, 4 0 -2
31.1, 2.878, 59, 0 2 0
32.0, 2.795, 92, 3 1 2
34.3, 2.614, 39, 7 1 0
43.9, 2.063, 23, 4 2 -2
54.3, 1.690, 18, 5 3 -1
55.9, 1.645, 19, 3 3 2
60.4, 1.531, 12, 0 2 4